No. 1
For PuNiCl4, a crystal structure in Alexandria, relaxed with GGA-PBE gives the computed powder diffractogram in this record (Cu Kα, 1.54184 Å).
Intensities are scaled so that the largest is 100.

Crystal structure
Lattice parameters (Å, degrees): 6.3908 6.3908 6.8048 90.00 90.00 90.00
Space group I-4 (No. 82)
Asymmetric unit:
Pu  0.0000  0.0000  0.0000
Ni  0.0000  0.5000  0.7500
Cl  0.2069  0.7804  0.6766

Top 10 peaks for 2θ = 10–90°, in order of rising 2θ:
d [Å]  Position (°2θ)  I_rel
4.658  19.05  100
4.519  19.65  27
2.718  32.95  50
2.635  34.02  62
2.329  38.66  20
2.259  39.90  25
2.138  42.28  19
2.033  44.57  17
1.777  51.43  14
1.738  52.68  28

---

No. 2
For DyY2Ho2Tm4, a crystal structure in Alexandria, relaxed with GGA-PBE gives the computed powder diffractogram in this record (Cu Kα, 1.54184 Å).
Intensities are scaled so that the largest is 100.

Crystal structure
Lattice parameters (Å, degrees): 5.9927 6.6355 8.4672 78.71 69.36 63.44
Space group P-1 (No. 2)
Asymmetric unit:
Dy  0.0000  0.0000  0.0000
Y  0.2666  0.6698  0.6610
Ho  0.1814  0.2231  0.5552
Tm  0.2686  0.4253  0.1194
Tm  0.3867  0.8764  0.2334

Top 10 peaks for 2θ = 10–90°, in order of rising 2θ:
d [Å]  Position (°2θ)  I_rel
2.996  29.82  21
2.819  31.74  31
2.750  32.56  100
2.058  43.99  7
2.048  44.23  7
1.852  49.20  9
1.616  56.99  10
1.612  57.14  10
1.548  59.75  10
1.182  81.39  8

---

No. 3
For Tm8Sb2Rh3, a crystal structure in Alexandria, relaxed with GGA-PBE gives the computed powder diffractogram in this record (Cu Kα, 1.54184 Å).
Intensities are scaled so that the largest is 100.

Crystal structure
Lattice parameters (Å, degrees): 8.8401 4.7768 8.8417 90.00 113.86 90.00
Space group P2/m (No. 10)
Asymmetric unit:
Tm  0.1089  0.0000  0.3910
Tm  0.1419  0.5000  0.8645
Tm  0.3641  0.5000  0.6422
Tm  0.3866  0.0000  0.1134
Sb  0.2443  0.5000  0.2564
Rh  0.2528  0.0000  0.7530
Rh  0.5000  0.5000  0.0000

Top 10 peaks for 2θ = 10–90°, in order of rising 2θ:
d [Å]  Position (°2θ)  I_rel
7.409  11.95  10
3.704  24.02  10
3.394  26.25  21
2.503  35.88  100
2.412  37.28  25
2.388  37.66  24
1.997  45.42  9
1.697  54.03  17
1.409  66.32  17
1.400  66.83  17

---

No. 4
For Cs2Be2CdSe4, a crystal structure in Alexandria, relaxed with GGA-PBE gives the computed powder diffractogram in this record (Cu Kα, 1.54184 Å).
Intensities are scaled so that the largest is 100.

Crystal structure
Lattice parameters (Å, degrees): 16.2723 3.9485 8.1496 90.00 108.96 90.00
Space group C2/m (No. 12)
Asymmetric unit:
Cs  0.1278  0.0000  0.0248
Be  0.1789  0.5000  0.4783
Cd  0.0000  0.0000  0.5000
Se  0.0407  0.5000  0.3012
Se  0.2119  0.0000  0.6458

Top 10 peaks for 2θ = 10–90°, in order of rising 2θ:
d [Å]  Position (°2θ)  I_rel
3.316  26.88  57
3.127  28.55  40
3.067  29.11  73
2.831  31.60  100
2.507  35.82  58
2.211  40.82  20
2.029  44.65  20
1.974  45.97  22
1.817  50.21  31
1.660  55.34  23

---

No. 5
For Tl2AgO3, a crystal structure in Alexandria, relaxed with GGA-PBE gives the computed powder diffractogram in this record (Cu Kα, 1.54184 Å).
Intensities are scaled so that the largest is 100.

Crystal structure
Lattice parameters (Å, degrees): 3.5059 3.5059 17.4574 90.00 90.00 120.00
Space group P6_3/mmc (No. 194)
Asymmetric unit:
Tl  0.3333  0.6667  0.0874
Ag  0.0000  0.0000  0.2500
O  0.0000  0.0000  0.0000
O  0.3333  0.6667  0.6546

Top 10 peaks for 2θ = 10–90°, in order of rising 2θ:
d [Å]  Position (°2θ)  I_rel
2.991  29.87  28
2.910  30.73  38
2.868  31.19  34
2.692  33.28  100
2.492  36.04  47
1.927  47.16  19
1.753  52.18  38
1.635  56.28  25
1.501  61.79  33
1.469  63.31  16

---

No. 6
For MnZn3Cu3, a crystal structure in Alexandria, relaxed with GGA-PBE gives the computed powder diffractogram in this record (Cu Kα, 1.54184 Å).
Intensities are scaled so that the largest is 100.

Crystal structure
Lattice parameters (Å, degrees): 8.4561 8.6134 5.3837 90.00 90.00 90.00
Space group Cmmm (No. 65)
Asymmetric unit:
Mn  0.2183  0.0000  0.0000
Zn  0.0000  0.2092  0.5000
Zn  0.0000  0.2409  0.0000
Zn  0.2412  0.0000  0.5000
Cu  0.0000  0.5000  0.2483
Cu  0.2500  0.2500  0.2531

Top 10 peaks for 2θ = 10–90°, in order of rising 2θ:
d [Å]  Position (°2θ)  I_rel
2.719  32.95  7
2.458  36.55  9
2.153  41.96  26
2.114  42.77  27
2.009  45.13  100
1.509  61.47  14
1.346  69.89  6
1.213  78.89  12
1.199  80.01  13
1.135  85.53  6